(1)
Simulated X-ray powder pattern of Na5B6C4 for Cu Kα, from DFT lattice parameters and positions (GGA-PBE).

Peak list (10 most intense, 2θ = 10–90°, low angle first)
2θ/deg  Rel. int.
35.9  10
36.4  18
42.0  51
42.4  100
42.7  39
57.3  10
64.9  17
65.9  8
81.3  11
81.8  8

a b c (Å): 8.9517 8.9517 13.0945
angles (deg): 113.49 113.49 18.22
Positions (direct):
Na 0.0000 0.0000 0.0000
Na 0.0000 0.0000 0.5000
Na 0.1984 0.1984 0.4004
Na 0.2006 0.2006 0.9012
Na 0.3993 0.3993 0.2980
Na 0.4008 0.4008 0.8010
Na 0.5992 0.5992 0.1990
Na 0.6007 0.6007 0.7020
Na 0.7994 0.7994 0.0988
Na 0.8016 0.8016 0.5996
B 0.0273 0.0273 0.3049
B 0.1665 0.1665 0.0826
B 0.2368 0.2368 0.7236
B 0.3603 0.3603 0.4709
B 0.4307 0.4307 0.1114
B 0.4325 0.4325 0.6146
B 0.5675 0.5675 0.3854
B 0.5693 0.5693 0.8886
B 0.6397 0.6397 0.5291
B 0.7632 0.7632 0.2764
B 0.8335 0.8335 0.9174
B 0.9727 0.9727 0.6951
C 0.0370 0.0370 0.8239
C 0.1716 0.1716 0.5919
C 0.2321 0.2321 0.2129
C 0.3656 0.3656 0.9814
C 0.6344 0.6344 0.0186
C 0.7679 0.7679 0.7871
C 0.8284 0.8284 0.4081
C 0.9630 0.9630 0.1761

---

(2)
Simulated X-ray powder pattern of Ti4Sn2Au for Cu Kα, from DFT lattice parameters and positions (GGA-PBE).

Peak list (10 most intense, 2θ = 10–90°, low angle first)
2θ/deg  Rel. int.
18.2  89
28.6  79
31.9  59
32.8  100
35.3  97
36.1  59
36.8  98
38.2  57
40.5  92
41.6  69

a b c (Å): 6.1875 3.0452 7.4664
angles (deg): 90.00 93.01 90.00
Positions (direct):
Ti 0.1449 0.0000 0.1338
Ti 0.3420 0.5000 0.3921
Ti 0.6580 0.5000 0.6079
Ti 0.8551 0.0000 0.8662
Sn 0.2903 0.5000 0.8112
Sn 0.7097 0.5000 0.1888
Au 0.0000 0.0000 0.5000

---

Repeat the second record exactly.
Simulated X-ray powder pattern of Ti4Sn2Au for Cu Kα, from DFT lattice parameters and positions (GGA-PBE).

Peak list (10 most intense, 2θ = 10–90°, low angle first)
2θ/deg  Rel. int.
18.2  89
28.6  79
31.9  59
32.8  100
35.3  97
36.1  59
36.8  98
38.2  57
40.5  92
41.6  69

a b c (Å): 6.1875 3.0452 7.4664
angles (deg): 90.00 93.01 90.00
Positions (direct):
Ti 0.1449 0.0000 0.1338
Ti 0.3420 0.5000 0.3921
Ti 0.6580 0.5000 0.6079
Ti 0.8551 0.0000 0.8662
Sn 0.2903 0.5000 0.8112
Sn 0.7097 0.5000 0.1888
Au 0.0000 0.0000 0.5000

---

Repeat the first record exactly.
Simulated X-ray powder pattern of Na5B6C4 for Cu Kα, from DFT lattice parameters and positions (GGA-PBE).

Peak list (10 most intense, 2θ = 10–90°, low angle first)
2θ/deg  Rel. int.
35.9  10
36.4  18
42.0  51
42.4  100
42.7  39
57.3  10
64.9  17
65.9  8
81.3  11
81.8  8

a b c (Å): 8.9517 8.9517 13.0945
angles (deg): 113.49 113.49 18.22
Positions (direct):
Na 0.0000 0.0000 0.0000
Na 0.0000 0.0000 0.5000
Na 0.1984 0.1984 0.4004
Na 0.2006 0.2006 0.9012
Na 0.3993 0.3993 0.2980
Na 0.4008 0.4008 0.8010
Na 0.5992 0.5992 0.1990
Na 0.6007 0.6007 0.7020
Na 0.7994 0.7994 0.0988
Na 0.8016 0.8016 0.5996
B 0.0273 0.0273 0.3049
B 0.1665 0.1665 0.0826
B 0.2368 0.2368 0.7236
B 0.3603 0.3603 0.4709
B 0.4307 0.4307 0.1114
B 0.4325 0.4325 0.6146
B 0.5675 0.5675 0.3854
B 0.5693 0.5693 0.8886
B 0.6397 0.6397 0.5291
B 0.7632 0.7632 0.2764
B 0.8335 0.8335 0.9174
B 0.9727 0.9727 0.6951
C 0.0370 0.0370 0.8239
C 0.1716 0.1716 0.5919
C 0.2321 0.2321 0.2129
C 0.3656 0.3656 0.9814
C 0.6344 0.6344 0.0186
C 0.7679 0.7679 0.7871
C 0.8284 0.8284 0.4081
C 0.9630 0.9630 0.1761

---

Question: Number 2 is which compound?
Answer: Ti4Sn2Au